Diffraction record for K2V8O21. The powder diffractogram is calculated, not measured: it uses DFT lattice parameters and positions (PBE+U) and Cu Kα (weighted mean of Kα1 and Kα2).
Neutral-atom scattering factors, no anomalous dispersion.

Structure:
Cell: 15.355 3.627 15.086 Å, 90.00 91.34 90.00°
Space group C2/m (No. 12)
Unique sites:
K 0.029 0.000 0.311 [4 per cell]
V 0.091 0.500 0.925 [4 per cell]
V 0.169 0.500 0.521 [4 per cell]
V 0.187 0.500 0.730 [4 per cell]
V 0.189 0.000 0.071 [4 per cell]
O 0.000 0.500 0.000 [2 per cell]
O 0.044 0.500 0.826 [4 per cell]
O 0.095 0.500 0.442 [4 per cell]
O 0.113 0.500 0.622 [4 per cell]
O 0.114 0.000 0.145 [4 per cell]
O 0.117 0.000 0.953 [4 per cell]
O 0.160 0.000 0.740 [4 per cell]
O 0.195 0.500 0.034 [4 per cell]
O 0.209 0.000 0.527 [4 per cell]
O 0.211 0.500 0.860 [4 per cell]
O 0.216 0.000 0.311 [4 per cell]

The 12 most intense peaks (2θ from 15° to 90°), by angle:
(4 0 -2), 25.84 deg, I = 100; (1 1 1), 25.96 deg, I = 40; (1 1 2), 27.97 deg, I = 28; (0 0 5), 29.62 deg, I = 62; (3 1 -1), 30.71 deg, I = 16; (3 1 1), 30.87 deg, I = 46; (2 0 5), 32.14 deg, I = 16; (6 0 -4), 42.22 deg, I = 32; (4 0 6), 43.50 deg, I = 24; (7 1 -1), 48.78 deg, I = 15; (0 2 0), 50.31 deg, I = 41; (6 2 -4), 67.71 deg, I = 16